Theoretical PXRD pattern of Sr2TiMnO5 for Cu Kα, 1.54184 Å, from DFT lattice parameters and positions (GGA+U).
Neutral-atom scattering factors, no anomalous dispersion.

Cell and atoms:
abc: 16.0058 5.6900 5.6192
angles: 90.00 90.00 90.00
Space group Ima2 (No. 46)
Symmetry-distinct sites (fractional):
Sr: 0.1121 0.0132 0.0000 (multiplicity 8)
Ti: 0.0000 0.0000 0.4973 (multiplicity 4)
Mn: 0.2500 0.5613 0.9724 (multiplicity 4)
O: 0.0078 0.7443 0.7636 (multiplicity 8)
O: 0.1238 0.0366 0.5264 (multiplicity 8)
O: 0.2500 0.6006 0.6071 (multiplicity 4)

The 10 most intense peaks (15° ≤ 2θ ≤ 90°), by intensity:
h k l  2θ/deg  I/Imax
4 1 1  31.63  100
8 0 0  45.35  54
0 0 2  31.85  38
0 2 0  31.44  35
4 1 3  56.62  21
4 3 1  56.10  17
8 2 2  66.07  16
8 0 2  56.45  12
4 2 0  38.84  10
8 2 0  56.21  10